Computed powder X-ray diffraction pattern of Ca3Os2N4 for Cu Kα, from a structure optimized by DFT (GGA-PBE).
Lines closer than 0.1° are merged.

Structural model:
```
data_Ca3Os2N4
_cell_length_a 11.071
_cell_length_b 8.762
_cell_length_c 5.295
_cell_angle_alpha 90.00
_cell_angle_beta 91.13
_cell_angle_gamma 90.00
_symmetry_space_group_name_H-M 'C 1 2/c 1'
_symmetry_Int_Tables_number 15
loop_
_symmetry_equiv_pos_as_xyz
'x,y,z'
'-x,-y,-z'
'-x,y,-z+1/2'
'x,-y,z+1/2'
'x+1/2,y+1/2,z'
'-x+1/2,-y+1/2,-z'
'-x+1/2,y+1/2,-z+1/2'
'x+1/2,-y+1/2,z+1/2'
loop_
_atom_site_label
_atom_site_fract_x
_atom_site_fract_y
_atom_site_fract_z
Ca1 0.000 0.097 0.250
Ca2 0.113 0.350 0.544
Os1 0.227 0.110 0.917
N1 0.107 0.319 0.028
N2 0.157 0.076 0.577
```

Principal peaks in the range 2θ = 15–90°, in order of rising 2θ:
(2 0 0), 16.01°, I = 100
(1 1 -1), 21.06°, I = 35
(1 1 1), 21.31°, I = 29
(3 1 -1), 31.00°, I = 44
(2 2 1), 31.21°, I = 54
(1 3 -1), 35.97°, I = 17
(1 1 -2), 36.18°, I = 43
(0 4 0), 41.21°, I = 22
(5 1 0), 42.10°, I = 16
(3 3 -1), 42.84°, I = 36
(3 1 2), 43.72°, I = 14
(2 4 0), 44.48°, I = 15



Computed powder X-ray diffraction pattern of Ca3OsN3 for Cu Kα, from a structure optimized by DFT (GGA-PBE).
Lines closer than 0.1° are merged.

Structural model:
```
data_Ca3OsN3
_cell_length_a 8.553
_cell_length_b 10.393
_cell_length_c 5.015
_cell_angle_alpha 90.00
_cell_angle_beta 90.00
_cell_angle_gamma 90.00
_symmetry_space_group_name_H-M 'C m c m'
_symmetry_Int_Tables_number 63
_symmetry_space_group_name_Hall '-C 2c 2'
loop_
_atom_site_label
_atom_site_fract_x
_atom_site_fract_y
_atom_site_fract_z
Ca1 0.000 0.107 0.250
Ca2 0.213 0.384 0.250
Os1 0.000 0.308 0.750
N1 0.000 0.123 0.750
N2 0.204 0.378 0.750
```

Principal peaks in the range 2θ = 15–90°, in order of rising 2θ:
(0 2 0), 17.06°, I = 28
(2 0 0), 20.77°, I = 26
(1 1 1), 22.26°, I = 100
(2 2 0), 27.00°, I = 27
(1 3 0), 27.78°, I = 30
(2 2 1), 32.46°, I = 72
(1 3 1), 33.13°, I = 26
(0 0 2), 35.81°, I = 42
(3 1 1), 37.30°, I = 38
(4 0 0), 42.27°, I = 19
(1 5 0), 44.90°, I = 21
(1 3 2), 45.91°, I = 21



Computed powder X-ray diffraction pattern of Ca4OsN4 for Cu Kα, from a structure optimized by DFT (GGA-PBE).
Lines closer than 0.1° are merged.

Structural model:
```
data_Ca4OsN4
_cell_length_a 6.048
_cell_length_b 6.099
_cell_length_c 8.553
_cell_angle_alpha 87.74
_cell_angle_beta 70.88
_cell_angle_gamma 69.77
_symmetry_space_group_name_H-M 'P -1'
_symmetry_Int_Tables_number 2
loop_
_symmetry_equiv_pos_as_xyz
'x,y,z'
'-x,-y,-z'
loop_
_atom_site_label
_atom_site_fract_x
_atom_site_fract_y
_atom_site_fract_z
Ca1 0.056 0.235 0.433
Ca2 0.191 0.228 0.019
Ca3 0.263 0.720 0.151
Ca4 0.426 0.295 0.622
Os1 0.387 0.799 0.757
N1 0.164 0.011 0.672
N2 0.268 0.553 0.884
N3 0.301 0.481 0.378
N4 0.415 0.021 0.207
```

Principal peaks in the range 2θ = 15–90°, in order of rising 2θ:
(1 0 0), 16.57°, I = 100
(0 1 -1), 18.30°, I = 76
(1 1 1), 19.05°, I = 49
(0 1 1), 19.81°, I = 46
(1 0 2), 22.79°, I = 62
(0 2 0), 31.37°, I = 55
(2 0 1), 31.54°, I = 92
(1 0 -2), 31.97°, I = 51
(1 1 3), 34.22°, I = 78
(2 2 1), 36.15°, I = 48
(1 -1 3), 37.09°, I = 62
(-1 1 2), 39.15°, I = 46



Computed powder X-ray diffraction pattern of Ca7OsN6 for Cu Kα, from a structure optimized by DFT (GGA-PBE).
Lines closer than 0.1° are merged.

Structural model:
```
data_Ca7OsN6
_cell_length_a 11.079
_cell_length_b 6.296
_cell_length_c 13.379
_cell_angle_alpha 90.00
_cell_angle_beta 90.00
_cell_angle_gamma 90.00
_symmetry_space_group_name_H-M 'P b c n'
_symmetry_Int_Tables_number 60
loop_
_symmetry_equiv_pos_as_xyz
'x,y,z'
'-x,-y,-z'
'-x+1/2,-y+1/2,z+1/2'
'x+1/2,y+1/2,-z+1/2'
'x+1/2,-y+1/2,-z'
'-x+1/2,y+1/2,z'
'-x,y,-z+1/2'
'x,-y,z+1/2'
loop_
_atom_site_label
_atom_site_fract_x
_atom_site_fract_y
_atom_site_fract_z
Ca1 0.000 0.068 0.250
Ca2 0.036 0.228 0.518
Ca3 0.210 0.399 0.111
Ca4 0.222 0.369 0.872
Os1 0.000 0.422 0.750
N1 0.030 0.401 0.364
N2 0.129 0.242 0.701
N3 0.168 0.095 0.988
```

Principal peaks in the range 2θ = 15–90°, in order of rising 2θ:
(2 0 0), 16.00°, I = 38
(1 1 0), 16.19°, I = 66
(1 1 1), 17.51°, I = 36
(2 0 2), 20.82°, I = 53
(1 1 2), 20.97°, I = 70
(2 0 4), 31.24°, I = 100
(4 0 0), 32.32°, I = 38
(2 2 1), 33.42°, I = 24
(0 2 3), 34.89°, I = 23
(2 2 2), 35.44°, I = 40
(2 2 3), 38.60°, I = 25
(3 1 4), 39.05°, I = 25



Computed powder X-ray diffraction pattern of CaPa2OsN5 for Cu Kα, from a structure optimized by DFT (GGA-PBE).
Lines closer than 0.1° are merged.

Structural model:
```
data_CaPa2OsN5
_cell_length_a 6.601
_cell_length_b 6.601
_cell_length_c 11.703
_cell_angle_alpha 90.00
_cell_angle_beta 90.00
_cell_angle_gamma 90.00
_symmetry_space_group_name_H-M 'I 4/m c m'
_symmetry_Int_Tables_number 140
_symmetry_space_group_name_Hall '-I 4 2c'
loop_
_atom_site_label
_atom_site_fract_x
_atom_site_fract_y
_atom_site_fract_z
Ca1 0.000 0.000 0.250
Pa1 0.184 0.316 0.000
Os1 0.000 0.500 0.250
N1 0.000 0.000 0.000
N2 0.141 0.359 0.372
```

Principal peaks in the range 2θ = 15–90°, in order of rising 2θ:
(0 0 2), 15.14°, I = 27
(1 1 0), 19.01°, I = 31
(0 0 4), 30.55°, I = 40
(2 0 2), 31.11°, I = 100
(2 1 1), 31.25°, I = 55
(2 1 3), 38.23°, I = 48
(2 2 0), 38.58°, I = 21
(3 1 2), 46.17°, I = 28
(2 1 5), 49.71°, I = 22
(2 2 4), 49.99°, I = 20
(2 0 6), 54.66°, I = 21
(4 1 1), 58.14°, I = 25



Computed powder X-ray diffraction pattern of Ca2PrOsN4 for Cu Kα, from a structure optimized by DFT (GGA-PBE).
Lines closer than 0.1° are merged.

Structural model:
```
data_Ca2PrOsN4
_cell_length_a 3.488
_cell_length_b 11.745
_cell_length_c 11.937
_cell_angle_alpha 90.00
_cell_angle_beta 90.00
_cell_angle_gamma 90.00
_symmetry_space_group_name_H-M 'C m c m'
_symmetry_Int_Tables_number 63
_symmetry_space_group_name_Hall '-C 2c 2'
loop_
_atom_site_label
_atom_site_fract_x
_atom_site_fract_y
_atom_site_fract_z
Ca1 0.000 0.128 0.035
Pr1 0.000 0.393 0.250
Os1 0.000 0.342 0.750
N1 0.000 0.078 0.250
N2 0.000 0.230 0.636
N3 0.000 0.500 0.000
```

Principal peaks in the range 2θ = 15–90°, in order of rising 2θ:
(1 1 0), 26.66°, I = 28
(0 0 4), 29.94°, I = 69
(0 4 0), 30.44°, I = 41
(1 1 2), 30.65°, I = 100
(0 4 1), 31.37°, I = 27
(0 4 2), 34.03°, I = 24
(1 3 1), 35.28°, I = 25
(1 3 2), 37.69°, I = 100
(1 1 4), 40.52°, I = 27
(0 4 4), 43.22°, I = 35
(1 3 4), 46.27°, I = 23
(2 4 0), 61.87°, I = 28